The following is a calculated XRD peak list of Li5Fe3Sb2O10. It was derived from a GGA+U-relaxed structure, using Cu Kα, 1.54184 Å.
Kinematic intensities with the Lorentz-polarization factor, no thermal factor.

Structure:
Cell lengths 5.345, 5.411, 8.195 Å; angles 102.66, 108.59, 99.74 degrees
Space group P-1 (No. 2)
Unique sites:
1 Li 0.000 0.000 0.000
2 Li 0.202 0.121 0.713
3 Li 0.384 0.743 0.892
4 Fe 0.000 0.500 0.500
5 Fe 0.399 0.193 0.393
6 Sb 0.221 0.604 0.199
7 O 0.029 0.281 0.262
8 O 0.164 0.355 0.949
9 O 0.209 0.833 0.435
10 O 0.406 0.929 0.153
11 O 0.409 0.453 0.660

Principal peaks in the range 2θ from 10° to 90°, low angle first:
| 2θ/deg | d (Å) | Rel. int. |
| --- | --- | --- |
| 17.39 | 5.100 | 372 |
| 17.63 | 5.030 | 732 |
| 21.68 | 4.100 | 226 |
| 25.23 | 3.530 | 210 |
| 28.48 | 3.134 | 133 |
| 33.73 | 2.658 | 384 |
| 35.23 | 2.547 | 113 |
| 35.34 | 2.540 | 226 |
| 41.11 | 2.196 | 1000 |
| 59.77 | 1.547 | 175 |